[1]
For La5P4, a cell relaxed with GGA-PBE gives the computed powder diffraction line list in this record (copper Kα).

Main lines, in order of falling intensity (2θ = 5–70°):
2θ/deg  I_rel
27.42  100
23.76  44
10.56  43
34.93  41
33.84  40
38.19  20
56.60  18
54.37  17

Structural model:
a b c (Å): 11.8446 11.8446 4.1202
angles (deg): 90.00 90.00 90.00
Space group I4/m (No. 87)
Inequivalent atoms, fractional coordinates:
La (0.0000, 0.0000, 0.0000) (multiplicity 2)
La (0.0935, 0.2399, 0.5000) (multiplicity 8)
P (0.0971, 0.7751, 0.0000) (multiplicity 8)


[2]
For La5P4, a cell relaxed with GGA-PBE gives the computed powder diffraction line list in this record (copper Kα).

Main lines, in order of falling intensity (2θ = 5–70°):
2θ/deg  I_rel
32.74  100
33.47  74
35.07  46
23.81  41
28.18  29
30.82  29
48.73  28
54.63  24

Structural model:
a b c (Å): 8.8646 8.8646 6.9512
angles (deg): 90.00 90.00 120.00
Space group P6_3/mcm (No. 193)
Inequivalent atoms, fractional coordinates:
La (0.0000, 0.2535, 0.2500) (multiplicity 6)
La (0.3333, 0.6667, 0.0000) (multiplicity 4)
P (0.0000, 0.0000, 0.0000) (multiplicity 2)
P (0.0000, 0.3965, 0.7500) (multiplicity 6)


[3]
For La3P2, a cell relaxed with GGA-PBE gives the computed powder diffraction line list in this record (copper Kα).

Main lines, in order of falling intensity (2θ = 5–70°):
2θ/deg  I_rel
28.32  100
26.96  69
42.85  48
45.33  36
25.81  33
50.70  32
33.67  32
52.16  18

Structural model:
a b c (Å): 4.2211 4.2211 31.0710
angles (deg): 90.00 90.00 120.00
Space group R-3m (No. 166, hexagonal axes)
Inequivalent atoms, fractional coordinates:
La (0.0000, 0.0000, 0.0000) (multiplicity 3)
La (0.0000, 0.0000, 0.2258) (multiplicity 6)
P (0.0000, 0.0000, 0.3910) (multiplicity 6)


[4]
For LaP7, a cell relaxed with GGA-PBE gives the computed powder diffraction line list in this record (copper Kα).

Main lines, in order of falling intensity (2θ = 5–70°):
2θ/deg  I_rel
18.84  100
29.44  87
26.48  69
26.11  53
32.59  53
30.52  50
41.51  48
27.44  47

Structural model:
a b c (Å): 7.0403 11.7129 10.3378
angles (deg): 90.00 129.70 90.00
Space group P2_1/c (No. 14)
Inequivalent atoms, fractional coordinates:
La (0.1143, 0.1509, 0.2163) (multiplicity 4)
P (0.1619, 0.0120, 0.5070) (multiplicity 4)
P (0.2646, 0.5989, 0.6773) (multiplicity 4)
P (0.2859, 0.7196, 0.2497) (multiplicity 4)
P (0.2968, 0.6627, 0.0488) (multiplicity 4)
P (0.3113, 0.0341, 0.9083) (multiplicity 4)
P (0.3128, 0.1900, 0.0275) (multiplicity 4)
P (0.3619, 0.1153, 0.7377) (multiplicity 4)


[5]
For La3P5, a cell relaxed with GGA-PBE gives the computed powder diffraction line list in this record (copper Kα).

Main lines, in order of falling intensity (2θ = 5–70°):
2θ/deg  I_rel
21.96  100
27.80  91
29.22  77
22.53  67
35.57  57
25.53  55
28.93  50
35.85  42

Structural model:
a b c (Å): 7.1931 16.0873 7.6187
angles (deg): 90.00 113.25 90.00
Space group Cm (No. 8)
Inequivalent atoms, fractional coordinates:
La (0.0000, 0.0000, 0.0000) (multiplicity 2)
La (0.1360, 0.2170, 0.7841) (multiplicity 4)
La (0.1814, 0.3415, 0.2794) (multiplicity 4)
La (0.3550, 0.0000, 0.5833) (multiplicity 2)
P (0.1828, 0.1715, 0.4196) (multiplicity 4)
P (0.2409, 0.5000, 0.5115) (multiplicity 2)
P (0.2642, 0.3874, 0.6866) (multiplicity 4)
P (0.3631, 0.0683, 0.9430) (multiplicity 4)
P (0.4055, 0.5000, 0.3378) (multiplicity 2)
P (0.4869, 0.3175, 0.1039) (multiplicity 4)


[6]
For La6P5, a cell relaxed with GGA-PBE gives the computed powder diffraction line list in this record (copper Kα).

Main lines, in order of falling intensity (2θ = 5–70°):
2θ/deg  I_rel
29.72  100
25.66  88
42.53  73
50.32  28
69.97  26
52.74  25
50.35  14
67.95  14

Structural model:
a b c (Å): 7.3678 12.7466 7.3668
angles (deg): 90.00 109.51 90.00
Space group C2/m (No. 12)
Inequivalent atoms, fractional coordinates:
La (0.2398, 0.0000, 0.2587) (multiplicity 4)
La (0.2417, 0.1731, 0.7445) (multiplicity 8)
P (0.0000, 0.0000, 0.5000) (multiplicity 2)
P (0.0000, 0.1666, 0.0000) (multiplicity 4)
P (0.0000, 0.3341, 0.5000) (multiplicity 4)


[7]
For La3PaP4, a cell relaxed with GGA-PBE gives the computed powder diffraction line list in this record (copper Kα).

Main lines, in order of falling intensity (2θ = 5–70°):
2θ/deg  I_rel
26.10  100
43.27  85
30.26  77
30.15  38
51.28  33
53.69  30
51.14  17
69.21  14

Structural model:
a b c (Å): 5.9068 5.9068 11.8561
angles (deg): 90.00 90.00 90.00
Space group I4/mmm (No. 139)
Inequivalent atoms, fractional coordinates:
La (0.0000, 0.0000, 0.0000) (multiplicity 2)
La (0.0000, 0.5000, 0.2500) (multiplicity 4)
Pa (0.0000, 0.0000, 0.5000) (multiplicity 2)
P (0.0000, 0.0000, 0.2661) (multiplicity 4)
P (0.0000, 0.5000, 0.0000) (multiplicity 4)


[8]
For LaTb2PaP4, a cell relaxed with GGA-PBE gives the computed powder diffraction line list in this record (copper Kα).

Main lines, in order of falling intensity (2θ = 5–70°):
2θ/deg  I_rel
31.12  100
26.87  91
44.59  74
52.83  45
55.38  26
64.90  12
17.25  4
15.41  2

Structural model:
a b c (Å): 5.7465 5.7465 11.4986
angles (deg): 90.00 90.00 90.00
Space group I-4m2 (No. 119)
Inequivalent atoms, fractional coordinates:
La (0.0000, 0.0000, 0.0000) (multiplicity 2)
Tb (0.0000, 0.0000, 0.5000) (multiplicity 2)
Tb (0.0000, 0.5000, 0.2500) (multiplicity 2)
Pa (0.0000, 0.5000, 0.7500) (multiplicity 2)
P (0.0000, 0.0000, 0.2550) (multiplicity 4)
P (0.0000, 0.5000, 0.5080) (multiplicity 4)